# 1
Theoretical X-ray powder pattern of Fe4C for Cu Kα, from a PBE-relaxed structure.
Kinematic intensities with the Lorentz-polarization factor, no thermal factor.

abc: 4.480 4.480 4.480
angles: 94.36 94.36 147.98
Fractional coordinates of all 5 atoms:
Fe  0.074  0.737  0.811
Fe  0.263  0.074  0.338
Fe  0.737  0.926  0.662
Fe  0.926  0.263  0.189
C  0.500  0.500  0.000

Main lines, in order of rising 2θ (10° ≤ 2θ ≤ 80°):
- 2θ 29.3, rel. 6
- 2θ 39.4, rel. 31
- 2θ 42.0, rel. 29
- 2θ 47.2, rel. 70
- 2θ 49.8, rel. 100
- 2θ 60.8, rel. 4
- 2θ 67.1, rel. 8
- 2θ 69.0, rel. 10
- 2θ 74.9, rel. 19
- 2θ 77.2, rel. 7

=====

# 2
Theoretical X-ray powder pattern of TaOF3 for Cu Kα, from a PBE-relaxed structure.
Kinematic intensities with the Lorentz-polarization factor, no thermal factor.

abc: 4.064 4.897 18.228
angles: 89.17 89.90 65.90
Fractional coordinates of all 25 atoms:
Ta  0.000  0.000  0.000
Ta  0.135  0.631  0.796
Ta  0.400  0.211  0.598
Ta  0.601  0.807  0.399
Ta  0.802  0.405  0.199
O  0.185  0.653  0.045
O  0.580  0.859  0.642
O  0.692  0.632  0.797
O  0.775  0.460  0.444
O  0.976  0.058  0.244
F  0.022  0.007  0.750
F  0.086  0.836  0.896
F  0.086  0.837  0.396
F  0.200  0.612  0.549
F  0.287  0.430  0.696
F  0.287  0.436  0.196
F  0.396  0.256  0.844
F  0.401  0.211  0.350
F  0.484  0.039  0.495
F  0.489  0.031  0.995
F  0.602  0.809  0.150
F  0.687  0.636  0.296
F  0.815  0.405  0.952
F  0.886  0.238  0.596
F  0.889  0.232  0.097

Main lines, in order of rising 2θ (10° ≤ 2θ ≤ 80°):
- 2θ 22.3, rel. 62
- 2θ 24.5, rel. 100
- 2θ 24.5, rel. 50
- 2θ 24.7, rel. 49
- 2θ 31.0, rel. 51
- 2θ 40.4, rel. 23
- 2θ 40.6, rel. 23
- 2θ 44.4, rel. 20
- 2θ 51.3, rel. 20
- 2θ 51.5, rel. 25